No. 1
The following is a theoretical powder X-ray diffraction pattern of La2PmHo3Er6. It was derived from a structure optimized by DFT (PBE), using CuKα.
Lines closer than 0.1° are merged.

Crystal structure
```
data_La2PmHo3Er6
_symmetry_space_group_name_H-M 'P 1'
_symmetry_Int_Tables_number 1
_cell_length_a 6.1809
_cell_length_b 6.1809
_cell_length_c 11.7616
_cell_angle_alpha 95.02
_cell_angle_beta 95.02
_cell_angle_gamma 119.98
loop_
_symmetry_equiv_pos_as_xyz
'x,y,z'
loop_
_atom_site_label
_atom_site_fract_x
_atom_site_fract_y
_atom_site_fract_z
La1 0.1668 0.8332 0.0000
La2 0.8332 0.1668 0.0000
Pm1 0.5000 0.5000 0.0000
Ho1 0.0000 0.0000 0.5000
Ho2 0.3335 0.6665 0.5000
Ho3 0.6665 0.3335 0.5000
Er1 0.0819 0.4146 0.7447
Er2 0.2528 0.2528 0.2553
Er3 0.4146 0.0819 0.7447
Er4 0.5854 0.9181 0.2553
Er5 0.7472 0.7472 0.7447
Er6 0.9181 0.5854 0.2553
```

Principal peaks in the range 5° ≤ 2θ ≤ 70°, in order of rising 2θ:
two_theta, d [Å], I/Imax
30.70, 2.912, 100.0
30.89, 2.895, 32.6
35.65, 2.518, 67.0
51.19, 1.784, 24.2
51.43, 1.777, 23.4
60.87, 1.522, 4.8
60.94, 1.520, 19.0
61.00, 1.519, 18.9
61.21, 1.514, 13.8
63.94, 1.456, 12.3

No. 2
The following is a theoretical powder X-ray diffraction pattern of NaLi2SnHg. It was derived from a structure optimized by DFT (PBE), using CuKα.
Lines closer than 0.1° are merged.

Crystal structure
```
data_NaLi2SnHg
_symmetry_space_group_name_H-M 'P 1'
_symmetry_Int_Tables_number 1
_cell_length_a 5.9804
_cell_length_b 5.9804
_cell_length_c 8.5238
_cell_angle_alpha 90.00
_cell_angle_beta 90.00
_cell_angle_gamma 130.98
loop_
_symmetry_equiv_pos_as_xyz
'x,y,z'
loop_
_atom_site_label
_atom_site_fract_x
_atom_site_fract_y
_atom_site_fract_z
Na1 0.0000 0.0000 0.0000
Na2 0.0000 0.0000 0.5000
Li1 0.2960 0.7040 0.5738
Li2 0.2960 0.7040 0.9262
Li3 0.7040 0.2960 0.0738
Li4 0.7040 0.2960 0.4262
Sn1 0.2210 0.7790 0.2500
Sn2 0.7790 0.2210 0.7500
Hg1 0.4862 0.5138 0.2500
Hg2 0.5138 0.4862 0.7500
```

Principal peaks in the range 5° ≤ 2θ ≤ 70°, in order of rising 2θ:
two_theta, d [Å], I/Imax
19.66, 4.515, 65.1
20.84, 4.262, 100.0
22.28, 3.990, 71.6
28.81, 3.099, 87.9
30.53, 2.928, 47.3
32.92, 2.721, 36.9
36.21, 2.481, 38.5
37.25, 2.414, 91.6
39.29, 2.293, 31.0
42.15, 2.144, 34.1